This entry pairs a crystal structure of Ag8GeTe6 with its theoretical powder diffraction line list. Radiation: Cu Kα (λ = 1.5418 Å). Structure: a structure optimized by DFT (PBE).
Peak positions follow from Bragg's law for the DFT cell and can differ from measured ones.

Cell and atoms:
```
data_Ag8GeTe6
_symmetry_space_group_name_H-M 'P 1'
_symmetry_Int_Tables_number 1
_symmetry_space_group_name_Hall 'P 1'
_cell_length_a 8.1814
_cell_length_b 8.1907
_cell_length_c 8.3843
_cell_angle_alpha 61.47
_cell_angle_beta 61.91
_cell_angle_gamma 61.74
loop_
_atom_site_label
_atom_site_fract_x
_atom_site_fract_y
_atom_site_fract_z
Ag1 0.0000 0.0000 0.0000
Ag2 0.0076 0.4182 0.5354
Ag3 0.1781 0.2219 0.2085
Ag4 0.1876 0.6097 0.5916
Ag5 0.1980 0.6053 0.9314
Ag6 0.5750 0.4110 0.0043
Ag7 0.5842 0.7798 0.9679
Ag8 0.8332 0.5808 0.2231
Ge1 0.4967 0.9070 0.5083
Te1 0.1092 0.0066 0.6095
Te2 0.2380 0.6658 0.2140
Te3 0.5885 0.5215 0.6094
Te4 0.5965 0.0132 0.1314
Te5 0.6464 0.0424 0.6040
Te6 0.9690 0.3994 0.9467
```

Peak list (6 most intense, 10 to 80 degrees two-theta, in order of falling intensity)
- 2θ = 26.1°, intensity 100
- 2θ = 25.1°, intensity 66
- 2θ = 25.5°, intensity 60
- 2θ = 40.0°, intensity 51
- 2θ = 33.5°, intensity 50
- 2θ = 42.4°, intensity 37